No. 1
Diffraction record for SrMn2N2. The powder XRD pattern is theoretical, not measured: it uses the PBE geometry in the Materials Project and CuKα.

Cell and atoms:
Lattice parameters (Å, degrees): 6.2932 6.2932 6.2932 120.68 120.68 88.82
Sites, in units of the cell vectors:
1 Sr 0.2500 0.2500 0.0000
2 Sr 0.7500 0.7500 0.0000
3 Mn 0.1354 0.6354 0.7708
4 Mn 0.3646 0.1354 0.5000
5 Mn 0.6354 0.8646 0.5000
6 Mn 0.8646 0.3646 0.2292
7 N 0.1605 0.3395 0.5000
8 N 0.3395 0.8395 0.1791
9 N 0.6605 0.1605 0.8209
10 N 0.8395 0.6605 0.5000

Main lines, sorted by position (10° ≤ 2θ ≤ 90°):
| 2θ/deg | intensity |
| --- | --- |
| 19.7 | 98 |
| 28.4 | 1000 |
| 33.7 | 236 |
| 35.1 | 352 |
| 40.1 | 233 |
| 44.4 | 110 |
| 46.1 | 318 |
| 62.7 | 238 |
| 63.2 | 194 |
| 67.1 | 128 |

---

No. 2
Diffraction record for Sc2CuPt. The powder XRD pattern is theoretical, not measured: it uses the PBE geometry in the Materials Project and CuKα.

Cell and atoms:
Lattice parameters (Å, degrees): 4.6287 4.6287 4.6287 60.00 60.00 60.00
Sites, in units of the cell vectors:
1 Sc 0.2500 0.2500 0.2500
2 Sc 0.7500 0.7500 0.7500
3 Cu 0.0000 0.0000 0.0000
4 Pt 0.5000 0.5000 0.5000

Main lines, sorted by position (10° ≤ 2θ ≤ 90°):
| 2θ/deg | intensity |
| --- | --- |
| 23.5 | 292 |
| 27.2 | 300 |
| 38.9 | 1000 |
| 46.0 | 157 |
| 48.2 | 91 |
| 56.2 | 166 |
| 61.8 | 69 |
| 63.6 | 122 |
| 70.5 | 329 |
| 83.6 | 103 |

---

No. 3
Diffraction record for SmInPt4. The powder XRD pattern is theoretical, not measured: it uses the PBE geometry in the Materials Project and CuKα.

Cell and atoms:
Lattice parameters (Å, degrees): 5.4404 5.4404 5.4404 60.00 60.00 60.00
Sites, in units of the cell vectors:
1 Sm 0.0000 0.0000 0.0000
2 In 0.7500 0.7500 0.7500
3 Pt 0.3755 0.3755 0.3755
4 Pt 0.3755 0.3755 0.8735
5 Pt 0.3755 0.8735 0.3755
6 Pt 0.8735 0.3755 0.3755

Main lines, sorted by position (10° ≤ 2θ ≤ 90°):
| 2θ/deg | intensity |
| --- | --- |
| 20.0 | 203 |
| 32.9 | 170 |
| 38.8 | 1000 |
| 40.6 | 530 |
| 47.3 | 111 |
| 58.8 | 63 |
| 62.8 | 329 |
| 69.1 | 303 |
| 82.1 | 117 |
| 83.3 | 208 |

---

No. 4
Diffraction record for Sm4Al2O9. The powder XRD pattern is theoretical, not measured: it uses the PBE geometry in the Materials Project and CuKα.

Cell and atoms:
Lattice parameters (Å, degrees): 7.6687 10.8115 11.3634 90.00 109.01 90.00
Sites, in units of the cell vectors:
1 Sm 0.0236 0.1038 0.2870
2 Sm 0.0236 0.3962 0.7870
3 Sm 0.1643 0.6245 0.5686
4 Sm 0.1643 0.8755 0.0686
5 Sm 0.3362 0.1222 0.9139
6 Sm 0.3362 0.3778 0.4139
7 Sm 0.4751 0.5895 0.1912
8 Sm 0.4751 0.9105 0.6912
9 Sm 0.5249 0.0895 0.3088
10 Sm 0.5249 0.4105 0.8088
11 Sm 0.6638 0.6222 0.5861
12 Sm 0.6638 0.8778 0.0861
13 Sm 0.8357 0.1245 0.9314
14 Sm 0.8357 0.3755 0.4314
15 Sm 0.9764 0.6038 0.2130
16 Sm 0.9764 0.8962 0.7130
17 Al 0.1523 0.1852 0.6166
18 Al 0.1523 0.3148 0.1166
19 Al 0.2789 0.6873 0.8713
20 Al 0.2789 0.8127 0.3713
21 Al 0.7211 0.1873 0.6287
22 Al 0.7211 0.3127 0.1287
23 Al 0.8477 0.6852 0.8834
24 Al 0.8477 0.8148 0.3834
25 O 0.0668 0.0080 0.8953
26 O 0.0668 0.4920 0.3953
27 O 0.0667 0.7407 0.8844
28 O 0.0667 0.7593 0.3844
29 O 0.1387 0.2296 0.4645
30 O 0.1387 0.2704 0.9645
31 O 0.1990 0.0302 0.6674
32 O 0.1990 0.4698 0.1674
33 O 0.2680 0.7288 0.2342
34 O 0.2680 0.7712 0.7342
35 O 0.2834 0.5293 0.8367
36 O 0.2834 0.9707 0.3367
37 O 0.2850 0.2278 0.2469
38 O 0.2850 0.2722 0.7469
39 O 0.4230 0.0050 0.1068
40 O 0.4230 0.4950 0.6068
41 O 0.4244 0.7341 0.0184
42 O 0.4244 0.7659 0.5184
43 O 0.5756 0.2341 0.4816
44 O 0.5756 0.2659 0.9816
45 O 0.5770 0.5050 0.3932
46 O 0.5770 0.9950 0.8932
47 O 0.7150 0.7278 0.2531
48 O 0.7150 0.7722 0.7531
49 O 0.7166 0.0293 0.6633
50 O 0.7166 0.4707 0.1633
51 O 0.7320 0.2288 0.2658
52 O 0.7320 0.2712 0.7658
53 O 0.8010 0.5302 0.8326
54 O 0.8010 0.9698 0.3326
55 O 0.8613 0.7296 0.0355
56 O 0.8613 0.7704 0.5355
57 O 0.9333 0.2407 0.6156
58 O 0.9333 0.2593 0.1156
59 O 0.9332 0.5080 0.6047
60 O 0.9332 0.9920 0.1047

Main lines, sorted by position (10° ≤ 2θ ≤ 90°):
| 2θ/deg | intensity |
| --- | --- |
| 11.6 | 227 |
| 18.4 | 381 |
| 26.2 | 194 |
| 28.5 | 1000 |
| 29.6 | 168 |
| 29.9 | 891 |
| 42.9 | 218 |
| 47.4 | 178 |
| 48.3 | 175 |
| 48.6 | 152 |

---

No. 5
Diffraction record for NiPb. The powder XRD pattern is theoretical, not measured: it uses the PBE geometry in the Materials Project and CuKα.

Cell and atoms:
Lattice parameters (Å, degrees): 4.1536 4.1536 5.1897 90.00 90.00 120.00
Sites, in units of the cell vectors:
1 Ni 0.0000 0.0000 0.0000
2 Ni 0.0000 0.0000 0.5000
3 Pb 0.3333 0.6667 0.2500
4 Pb 0.6667 0.3333 0.7500

Main lines, sorted by position (10° ≤ 2θ ≤ 90°):
| 2θ/deg | intensity |
| --- | --- |
| 30.2 | 1000 |
| 43.0 | 347 |
| 43.6 | 435 |
| 54.0 | 205 |
| 56.8 | 115 |
| 59.3 | 155 |
| 62.9 | 110 |
| 71.8 | 179 |
| 79.6 | 112 |
| 89.0 | 119 |